(1)
The following is a computed powder XRD pattern of Sm5Dy6Sc2. It was derived from a PBE-relaxed structure, using a wavelength of 1.5418 Å.

Crystal structure
Cell lengths 11.299, 20.334, 3.583 Å; angles 90.00, 90.00, 90.00 degrees
Space group Pbam (No. 55)
Asymmetric unit:
Sm (0.000, 0.000, 0.000)
Sm (0.061, 0.422, 0.000)
Sm (0.147, 0.722, 0.000)
Dy (0.080, 0.155, 0.000)
Dy (0.168, 0.883, 0.500)
Dy (0.221, 0.555, 0.500)
Sc (0.112, 0.286, 0.500)

Peak list (10 most intense, 2θ from 10° to 90°, sorted by position)
27.49°, d 3.244, rel. 33, hkl 1 6 0; 29.52°, d 3.026, rel. 79, hkl 2 0 1; 30.82°, d 2.901, rel. 36, hkl 2 2 1; 31.56°, d 2.835, rel. 43, hkl 1 4 1; 31.81°, d 2.813, rel. 49, hkl 1 7 0; 31.99°, d 2.798, rel. 32, hkl 4 1 0; 32.40°, d 2.763, rel. 100, hkl 2 3 1; 32.91°, d 2.722, rel. 21, hkl 4 2 0; 40.78°, d 2.213, rel. 21, hkl 1 7 1; 51.00°, d 1.791, rel. 26, hkl 0 0 2

***

(2)
The following is a computed powder XRD pattern of Sm2DySc. It was derived from a PBE-relaxed structure, using a wavelength of 1.5418 Å.

Crystal structure
Cell lengths 12.065, 7.045, 6.102 Å; angles 90.00, 109.56, 90.00 degrees
Space group C2/c (No. 15)
Asymmetric unit:
Sm (0.248, 0.125, 0.244)
Dy (0.000, 0.373, 0.250)
Sc (0.000, 0.123, 0.750)

Peak list (10 most intense, 2θ from 10° to 90°, sorted by position)
31.14°, d 2.872, rel. 100, hkl 2 2 -1; 31.48°, d 2.842, rel. 32, hkl 4 0 0; 36.21°, d 2.481, rel. 67, hkl 4 0 -2; 51.92°, d 1.761, rel. 24, hkl 0 4 0; 52.40°, d 1.746, rel. 15, hkl 6 2 -1; 61.79°, d 1.501, rel. 14, hkl 0 4 2; 61.95°, d 1.498, rel. 18, hkl 4 4 0; 62.05°, d 1.496, rel. 9, hkl 6 2 -3; 64.93°, d 1.436, rel. 12, hkl 4 4 -2; 84.86°, d 1.143, rel. 11, hkl 2 6 -1